Structure and computed PXRD pattern of La4Nd10Y (a crystal structure in Alexandria, relaxed with GGA-PBE; Cu Kα).
Intensities are scaled so that the largest is 1000.

Main lines, low angle first (2θ from 15° to 90°):
Position (°2θ)  Rel. int.
26.9  569
29.7  415
30.6  1000
31.1  916
39.7  448
55.6  353

Structure:
```
La4Nd10Y
1.0
-5.8454 5.8454 4.0151
5.8454 -5.8454 4.0151
5.8454 5.8454 -4.0151
La Nd Y
4 10 1
Cartesian
2.6530 2.6530 0.0000 La
3.1923 -3.1923 4.0151 La
-3.1923 3.1923 4.0151 La
3.1923 3.1923 4.0151 La
5.8454 3.3861 -1.6862 Nd
5.8454 0.0000 2.0075 Nd
3.3861 5.8454 -1.6862 Nd
2.4593 0.0000 2.3288 Nd
0.0000 2.4593 2.3288 Nd
5.8454 3.3861 1.6862 Nd
3.3861 5.8454 1.6862 Nd
2.4593 0.0000 5.7013 Nd
0.0000 5.8454 2.0075 Nd
0.0000 2.4593 5.7013 Nd
0.0000 0.0000 0.0000 Y
```